Entry 1:
Calculated X-ray powder pattern of SmY2TmTh for Cu Kα, 1.54184 Å, from a PBE-relaxed structure.

Structure:
a = 8.617 Å, b = 6.362 Å, c = 6.286 Å
α = 90.00°, β = 96.94°, γ = 90.00°
Atoms (fractional coordinates):
1 Sm 0.000 0.000 0.000
2 Sm 0.000 0.000 0.500
3 Y 0.314 0.307 0.214
4 Y 0.314 0.693 0.714
5 Y 0.686 0.307 0.286
6 Y 0.686 0.693 0.786
7 Tm 0.500 0.177 0.750
8 Tm 0.500 0.823 0.250
9 Th 0.000 0.450 0.750
10 Th 0.000 0.550 0.250

Largest 12 diffraction maxima, most intense first, 2θ = 10–80°:
2θ/deg  d_spacing  I (rel.)
29.97  2.982  100
20.77  4.277  88
34.76  2.581  55
30.19  2.960  55
32.54  2.752  51
27.64  3.227  49
42.73  2.116  43
31.95  2.801  43
10.34  8.554  40
28.61  3.120  39
32.74  2.736  38
47.92  1.898  35

Entry 2:
Calculated X-ray powder pattern of Sm2YTm2Th2 for Cu Kα, 1.54184 Å, from a PBE-relaxed structure.

Structure:
a = 11.758 Å, b = 11.758 Å, c = 11.758 Å
α = 162.88°, β = 151.84°, γ = 33.14°
Atoms (fractional coordinates):
1 Sm 0.149 0.149 0.000
2 Sm 0.851 0.851 0.000
3 Y 0.000 0.000 0.000
4 Tm 0.423 0.423 0.000
5 Tm 0.577 0.577 0.000
6 Th 0.284 0.784 0.500
7 Th 0.716 0.216 0.500

Largest 12 diffraction maxima, most intense first, 2θ = 10–80°:
2θ/deg  d_spacing  I (rel.)
31.89  2.806  100
30.98  2.886  59
31.27  2.861  55
33.98  2.638  42
32.37  2.765  41
62.55  1.485  30
45.63  1.988  29
28.12  3.173  25
56.05  1.641  21
58.01  1.590  19
42.55  2.125  17
62.18  1.493  16

Entry 3:
Calculated X-ray powder pattern of Sm2Y5TmTh for Cu Kα, 1.54184 Å, from a PBE-relaxed structure.

Structure:
a = 9.850 Å, b = 9.850 Å, c = 9.850 Å
α = 127.26°, β = 127.26°, γ = 77.83°
Atoms (fractional coordinates):
1 Sm 0.115 0.615 0.730
2 Sm 0.385 0.115 0.500
3 Sm 0.615 0.885 0.500
4 Sm 0.885 0.385 0.270
5 Y 0.000 0.000 0.000
6 Y 0.073 0.150 0.500
7 Y 0.150 0.650 0.077
8 Y 0.350 0.427 0.500
9 Y 0.427 0.927 0.077
10 Y 0.500 0.500 0.000
11 Y 0.573 0.073 0.923
12 Y 0.650 0.573 0.500
13 Y 0.850 0.350 0.923
14 Y 0.927 0.850 0.500
15 Tm 0.250 0.750 0.500
16 Tm 0.750 0.250 0.500
17 Th 0.250 0.250 0.000
18 Th 0.750 0.750 0.000

Largest 12 diffraction maxima, most intense first, 2θ = 10–80°:
2θ/deg  d_spacing  I (rel.)
31.02  2.883  100
28.86  3.094  53
28.74  3.107  41
43.00  2.103  30
52.51  1.743  26
37.52  2.397  19
23.43  3.797  17
31.18  2.869  17
37.29  2.412  16
32.35  2.767  14
23.21  3.832  14
56.50  1.629  14

Entry 4:
Calculated X-ray powder pattern of Sm6YTm2Th for Cu Kα, 1.54184 Å, from a PBE-relaxed structure.

Structure:
a = 8.829 Å, b = 8.829 Å, c = 9.564 Å
α = 93.51°, β = 93.51°, γ = 116.36°
Atoms (fractional coordinates):
1 Sm 0.011 0.571 0.185
2 Sm 0.112 0.764 0.558
3 Sm 0.236 0.888 0.942
4 Sm 0.294 0.517 0.383
5 Sm 0.429 0.989 0.315
6 Sm 0.483 0.706 0.117
7 Sm 0.517 0.294 0.883
8 Sm 0.571 0.011 0.685
9 Sm 0.706 0.483 0.617
10 Sm 0.764 0.112 0.058
11 Sm 0.888 0.236 0.442
12 Sm 0.989 0.429 0.815
13 Y 0.409 0.591 0.750
14 Y 0.591 0.409 0.250
15 Tm 0.203 0.297 0.051
16 Tm 0.297 0.203 0.551
17 Tm 0.703 0.797 0.449
18 Tm 0.797 0.703 0.949
19 Th 0.032 0.968 0.250
20 Th 0.968 0.032 0.750

Largest 12 diffraction maxima, most intense first, 2θ = 10–80°:
2θ/deg  d_spacing  I (rel.)
30.90  2.893  100
30.65  2.917  94
28.41  3.142  85
30.02  2.977  77
31.46  2.844  61
32.43  2.761  52
31.34  2.854  51
33.96  2.640  38
27.97  3.190  35
33.30  2.690  27
34.55  2.596  24
38.50  2.339  24

Entry 5:
Calculated X-ray powder pattern of Sm12Y7Th for Cu Kα, 1.54184 Å, from a PBE-relaxed structure.

Structure:
a = 8.780 Å, b = 8.780 Å, c = 8.780 Å
α = 89.81°, β = 89.81°, γ = 89.81°
Atoms (fractional coordinates):
1 Sm 0.001 0.646 0.120
2 Sm 0.120 0.001 0.646
3 Sm 0.223 0.629 0.763
4 Sm 0.237 0.777 0.371
5 Sm 0.354 0.880 0.999
6 Sm 0.371 0.237 0.777
7 Sm 0.629 0.763 0.223
8 Sm 0.646 0.120 0.001
9 Sm 0.763 0.223 0.629
10 Sm 0.777 0.371 0.237
11 Sm 0.880 0.999 0.354
12 Sm 0.999 0.354 0.880
13 Y 0.000 0.000 0.000
14 Y 0.120 0.348 0.443
15 Y 0.348 0.443 0.120
16 Y 0.443 0.120 0.348
17 Y 0.557 0.880 0.652
18 Y 0.652 0.557 0.880
19 Y 0.880 0.652 0.557
20 Th 0.500 0.500 0.500

Largest 12 diffraction maxima, most intense first, 2θ = 10–80°:
2θ/deg  d_spacing  I (rel.)
32.24  2.777  100
30.59  2.922  92
30.50  2.931  54
33.81  2.651  37
38.30  2.350  27
53.18  1.722  25
53.29  1.719  24
14.26  6.213  20
56.52  1.628  17
28.79  3.101  16
56.39  1.632  13
42.45  2.129  13

Entry 6:
Calculated X-ray powder pattern of Sm15Y4Th for Cu Kα, 1.54184 Å, from a PBE-relaxed structure.

Structure:
a = 5.119 Å, b = 5.119 Å, c = 25.545 Å
α = 90.00°, β = 90.00°, γ = 90.00°
Atoms (fractional coordinates):
1 Sm 0.000 0.000 0.000
2 Sm 0.000 0.000 0.202
3 Sm 0.000 0.000 0.400
4 Sm 0.000 0.000 0.600
5 Sm 0.000 0.000 0.798
6 Sm 0.000 0.500 0.099
7 Sm 0.000 0.500 0.300
8 Sm 0.000 0.500 0.500
9 Sm 0.000 0.500 0.700
10 Sm 0.000 0.500 0.901
11 Sm 0.500 0.000 0.099
12 Sm 0.500 0.000 0.300
13 Sm 0.500 0.000 0.500
14 Sm 0.500 0.000 0.700
15 Sm 0.500 0.000 0.901
16 Y 0.500 0.500 0.200
17 Y 0.500 0.500 0.400
18 Y 0.500 0.500 0.600
19 Y 0.500 0.500 0.800
20 Th 0.500 0.500 0.000

Largest 12 diffraction maxima, most intense first, 2θ = 10–80°:
2θ/deg  d_spacing  I (rel.)
30.26  2.954  100
35.08  2.558  51
59.97  1.542  43
50.46  1.809  36
62.94  1.477  12
74.08  1.280  4
74.25  1.277  2
17.33  5.116  1
24.61  3.617  1
17.67  5.019  1
10.39  8.515  1
18.67  4.752  1

Entry 7:
Calculated X-ray powder pattern of Sm6Y3Th for Cu Kα, 1.54184 Å, from a PBE-relaxed structure.

Structure:
a = 13.246 Å, b = 3.550 Å, c = 14.492 Å
α = 90.00°, β = 100.46°, γ = 90.00°
Atoms (fractional coordinates):
1 Sm 0.001 0.250 0.191
2 Sm 0.156 0.750 0.380
3 Sm 0.229 0.250 0.799
4 Sm 0.279 0.250 0.212
5 Sm 0.311 0.250 0.580
6 Sm 0.379 0.750 0.015
7 Sm 0.621 0.250 0.985
8 Sm 0.689 0.750 0.420
9 Sm 0.721 0.750 0.788
10 Sm 0.771 0.750 0.201
11 Sm 0.844 0.250 0.620
12 Sm 0.999 0.750 0.809
13 Y 0.078 0.750 0.597
14 Y 0.125 0.250 0.002
15 Y 0.426 0.750 0.399
16 Y 0.574 0.250 0.601
17 Y 0.875 0.750 0.998
18 Y 0.922 0.250 0.403
19 Th 0.463 0.750 0.778
20 Th 0.537 0.250 0.222

Largest 12 diffraction maxima, most intense first, 2θ = 10–80°:
2θ/deg  d_spacing  I (rel.)
31.42  2.847  100
30.33  2.947  71
29.87  2.991  56
32.23  2.777  46
36.62  2.454  33
32.58  2.748  31
60.93  1.521  19
48.59  1.874  19
51.48  1.775  16
59.57  1.552  15
50.29  1.814  15
61.55  1.507  15

Entry 8:
Calculated X-ray powder pattern of SmYTh3 for Cu Kα, 1.54184 Å, from a PBE-relaxed structure.

Structure:
a = 8.326 Å, b = 8.326 Å, c = 8.326 Å
α = 106.49°, β = 88.58°, γ = 137.81°
Atoms (fractional coordinates):
1 Sm 0.500 0.000 0.000
2 Sm 0.500 0.500 0.500
3 Y 0.052 0.302 0.750
4 Y 0.948 0.698 0.250
5 Th 0.000 0.000 0.000
6 Th 0.000 0.331 0.331
7 Th 0.000 0.669 0.669
8 Th 0.500 0.000 0.500
9 Th 0.500 0.331 0.831
10 Th 0.500 0.669 0.169

Largest 12 diffraction maxima, most intense first, 2θ = 10–80°:
2θ/deg  d_spacing  I (rel.)
34.34  2.611  100
33.47  2.677  87
14.87  5.959  67
29.99  2.980  61
30.78  2.905  56
43.51  2.080  44
24.40  3.647  28
56.09  1.640  25
62.58  1.484  23
55.50  1.656  21
55.88  1.645  19
53.53  1.712  16

Entry 9:
Calculated X-ray powder pattern of Sm7Y2Th2 for Cu Kα, 1.54184 Å, from a PBE-relaxed structure.

Structure:
a = 8.079 Å, b = 8.079 Å, c = 6.157 Å
α = 105.69°, β = 105.69°, γ = 90.74°
Atoms (fractional coordinates):
1 Sm 0.000 0.000 0.000
2 Sm 0.059 0.588 0.831
3 Sm 0.237 0.237 0.588
4 Sm 0.412 0.941 0.169
5 Sm 0.588 0.059 0.831
6 Sm 0.763 0.763 0.412
7 Sm 0.941 0.412 0.169
8 Y 0.220 0.780 0.500
9 Y 0.780 0.220 0.500
10 Th 0.423 0.423 0.194
11 Th 0.577 0.577 0.806

Largest 12 diffraction maxima, most intense first, 2θ = 10–80°:
2θ/deg  d_spacing  I (rel.)
31.44  2.845  100
31.11  2.875  50
33.39  2.684  41
30.27  2.953  36
25.47  3.498  31
31.64  2.828  30
33.81  2.651  29
44.96  2.016  19
49.62  1.837  17
55.56  1.654  16
54.96  1.671  13
37.66  2.388  13

Entry 10:
Calculated X-ray powder pattern of Sm8Y4Th for Cu Kα, 1.54184 Å, from a PBE-relaxed structure.

Structure:
a = 7.819 Å, b = 7.819 Å, c = 7.819 Å
α = 97.44°, β = 97.44°, γ = 97.44°
Atoms (fractional coordinates):
1 Sm 0.168 0.168 0.668
2 Sm 0.168 0.668 0.168
3 Sm 0.240 0.240 0.240
4 Sm 0.332 0.832 0.832
5 Sm 0.668 0.168 0.168
6 Sm 0.760 0.760 0.760
7 Sm 0.832 0.332 0.832
8 Sm 0.832 0.832 0.332
9 Y 0.000 0.000 0.000
10 Y 0.000 0.500 0.500
11 Y 0.500 0.000 0.500
12 Y 0.500 0.500 0.000
13 Th 0.500 0.500 0.500

Largest 12 diffraction maxima, most intense first, 2θ = 10–80°:
2θ/deg  d_spacing  I (rel.)
30.43  2.938  100
38.41  2.344  32
27.52  3.241  27
22.88  3.886  21
54.07  1.696  20
56.80  1.621  16
35.11  2.556  14
38.76  2.323  14
47.13  1.928  13
63.31  1.469  12
31.94  2.802  12
44.69  2.028  9

Entry 11:
Calculated X-ray powder pattern of Sm2Y3Th3 for Cu Kα, 1.54184 Å, from a PBE-relaxed structure.

Structure:
a = 9.109 Å, b = 9.109 Å, c = 3.668 Å
α = 90.00°, β = 90.00°, γ = 120.00°
Atoms (fractional coordinates):
1 Sm 0.333 0.667 0.000
2 Sm 0.667 0.333 0.000
3 Y 0.000 0.396 0.500
4 Y 0.396 0.000 0.500
5 Y 0.604 0.604 0.500
6 Th 0.000 0.774 0.000
7 Th 0.226 0.226 0.000
8 Th 0.774 0.000 0.000

Largest 12 diffraction maxima, most intense first, 2θ = 10–80°:
2θ/deg  d_spacing  I (rel.)
29.97  2.982  100
31.31  2.857  65
38.93  2.314  55
33.36  2.686  33
59.14  1.562  30
59.30  1.558  28
24.26  3.668  24
56.72  1.623  18
34.10  2.630  15
53.21  1.721  14
49.71  1.834  11
48.44  1.879  11

Entry 12:
Calculated X-ray powder pattern of Sm7Y3Th for Cu Kα, 1.54184 Å, from a PBE-relaxed structure.

Structure:
a = 7.171 Å, b = 7.171 Å, c = 8.721 Å
α = 90.00°, β = 90.00°, γ = 120.00°
Atoms (fractional coordinates):
1 Sm 0.000 0.000 0.000
2 Sm 0.165 0.331 0.334
3 Sm 0.165 0.835 0.334
4 Sm 0.503 0.007 0.002
5 Sm 0.503 0.497 0.002
6 Sm 0.669 0.835 0.334
7 Sm 0.993 0.497 0.002
8 Y 0.337 0.169 0.663
9 Y 0.831 0.169 0.663
10 Y 0.831 0.663 0.663
11 Th 0.667 0.333 0.332

Largest 12 diffraction maxima, most intense first, 2θ = 10–80°:
2θ/deg  d_spacing  I (rel.)
30.56  2.925  100
35.49  2.529  68
30.76  2.907  31
60.69  1.526  27
51.20  1.784  24
50.94  1.793  23
10.14  8.721  22
60.58  1.529  14
60.92  1.521  14
63.62  1.463  12
75.12  1.265  7
28.75  3.105  6